# Pr4NdHo8
Computed powder X-ray diffraction pattern, λ = 1.5418 Å (Cu Kα). Input: the GGA-PBE geometry in Alexandria.

Structure:
abc: 7.8429 7.8429 7.8429
angles: 90.00 90.00 90.00
Element x y z (fractional)
Pr1 0.0000 0.0000 0.0000
Pr2 0.0000 0.5000 0.5000
Pr3 0.5000 0.0000 0.5000
Pr4 0.5000 0.5000 0.0000
Nd1 0.5000 0.5000 0.5000
Ho1 0.2391 0.2391 0.2391
Ho2 0.2391 0.2391 0.7609
Ho3 0.2391 0.7609 0.2391
Ho4 0.2391 0.7609 0.7609
Ho5 0.7609 0.2391 0.2391
Ho6 0.7609 0.2391 0.7609
Ho7 0.7609 0.7609 0.2391
Ho8 0.7609 0.7609 0.7609

The 10 most intense peaks (10° ≤ 2θ ≤ 80°), by angle:
2θ = 19.61°, I = 11; 2θ = 22.68°, I = 10; 2θ = 25.39°, I = 5; 2θ = 32.28°, I = 100; 2θ = 38.05°, I = 6; 2θ = 46.31°, I = 18; 2θ = 52.16°, I = 4; 2θ = 57.57°, I = 37; 2θ = 67.57°, I = 11; 2θ = 76.88°, I = 15

=====

# Pr4NdHo10
Computed powder X-ray diffraction pattern, λ = 1.5418 Å (Cu Kα). Input: the GGA-PBE geometry in Alexandria.

Structure:
abc: 9.4899 9.4899 9.4899
angles: 99.60 99.60 131.79
Element x y z (fractional)
Pr1 0.1007 0.2990 0.3997
Pr2 0.2990 0.8993 0.1984
Pr3 0.7010 0.1007 0.8016
Pr4 0.8993 0.7010 0.6003
Nd1 0.5000 0.5000 0.0000
Ho1 0.0510 0.1516 0.7012
Ho2 0.1516 0.4504 0.1006
Ho3 0.2500 0.7500 0.5000
Ho4 0.3498 0.0510 0.8994
Ho5 0.4504 0.3498 0.2988
Ho6 0.5496 0.6502 0.7012
Ho7 0.6502 0.9490 0.1006
Ho8 0.7500 0.2500 0.5000
Ho9 0.8484 0.5496 0.8994
Ho10 0.9490 0.8484 0.2988

The 10 most intense peaks (10° ≤ 2θ ≤ 80°), by angle:
2θ = 19.84°, I = 22; 2θ = 22.95°, I = 19; 2θ = 32.69°, I = 100; 2θ = 38.53°, I = 12; 2θ = 40.32°, I = 6; 2θ = 46.90°, I = 18; 2θ = 52.84°, I = 8; 2θ = 58.34°, I = 38; 2θ = 68.50°, I = 12; 2θ = 77.98°, I = 16